Starting from a crystal structure in Alexandria, relaxed with GGA+U, the powder X-ray diffraction pattern of VCr2O5 was computed for Cu Kα (weighted mean of Kα1 and Kα2).
Intensities are scaled so that the largest is 100.

Top 12 peaks for 5 to 70 degrees two-theta, in order of rising 2θ:
2theta  d (Å)  Rel. int.
17.28  5.132  14
26.32  3.386  100
26.48  3.366  34
31.92  2.804  12
34.96  2.566  12
36.52  2.461  29
41.83  2.159  12
53.61  1.710  19
54.18  1.693  15
54.52  1.683  36
63.12  1.473  13
66.72  1.402  12

Atomic structure:
```
VCr2O5
1.0
-2.804 2.804 6.370
2.804 -2.804 6.370
2.804 2.804 -6.370
V Cr O
2 4 10
direct
0.375 0.625 0.750
0.625 0.375 0.250
0.000 0.000 0.000
0.000 0.000 0.500
0.000 0.500 0.000
0.500 0.000 0.500
0.125 0.875 0.250
0.182 0.701 0.480
0.279 0.299 0.980
0.299 0.279 0.480
0.299 0.818 0.020
0.701 0.182 0.980
0.701 0.721 0.520
0.721 0.701 0.020
0.818 0.299 0.520
0.875 0.125 0.750
```